Simulated powder X-ray diffraction pattern of Sc2Nb2O5 for Cu Kα (λ = 1.5418 Å), from the PBE geometry in OQMD.

Structural model:
Cell: 3.445 3.445 9.175 Å, 90.00 90.00 90.00°
Space group P4/mmm (No. 123)
Inequivalent atoms, fractional coordinates:
Sc (0.000, 0.000, 0.237) x2
Nb (0.500, 0.500, 0.000) x1
Nb (0.500, 0.500, 0.500) x1
O (0.000, 0.000, 0.000) x1
O (0.000, 0.500, 0.366) x4

Top 12 peaks for 2θ from 15° to 90°, in order of rising 2θ:
2θ (°), d_spacing, I/Imax, index
19.35, 4.587, 17, 0 0 2
25.86, 3.445, 9, 1 0 0
32.50, 2.755, 100, 1 0 2
36.90, 2.436, 27, 1 1 0
39.28, 2.294, 11, 0 0 4
42.00, 2.151, 11, 1 1 2
53.18, 1.722, 21, 2 0 0
54.99, 1.670, 36, 1 1 4
63.73, 1.460, 27, 2 1 2
66.95, 1.398, 11, 1 0 6
68.08, 1.377, 9, 2 0 4
78.54, 1.218, 6, 2 2 0

Simulated powder X-ray diffraction pattern of ZrI4O12 for Cu Kα (λ = 1.5418 Å), from the PBE geometry in OQMD.

Structural model:
Cell: 8.306 8.306 7.366 Å, 90.00 90.00 90.00°
Space group P4/n (No. 85, origin choice 2)
Inequivalent atoms, fractional coordinates:
Zr (0.250, 0.250, 0.055) x2
I (0.000, 0.032, 0.726) x8
O (0.000, 0.347, 0.548) x8
O (0.040, 0.181, 0.222) x8
O (0.040, 0.335, 0.901) x8

Top 12 peaks for 2θ from 15° to 90°, in order of rising 2θ:
2θ (°), d_spacing, I/Imax, index
15.08, 5.873, 19, 1 1 0
19.33, 4.592, 15, 1 1 1
21.40, 4.153, 100, 2 0 0
24.16, 3.683, 30, 0 0 2
24.61, 3.618, 22, 2 0 1
30.44, 2.937, 46, 2 2 0
32.49, 2.756, 97, 2 0 2
39.24, 2.296, 28, 2 2 2
43.59, 2.077, 23, 4 0 0
46.75, 1.943, 16, 1 4 1
54.51, 1.683, 12, 2 0 4
55.40, 1.658, 35, 2 4 2

Simulated powder X-ray diffraction pattern of Co2B2W3 for Cu Kα (λ = 1.5418 Å), from the PBE geometry in OQMD.

Structural model:
Cell: 3.7157 3.7157 21.4121 Å, 90.00 90.00 120.00°
Space group R3m (No. 160, hexagonal axes)
Inequivalent atoms, fractional coordinates:
Co (0.0000, 0.0000, 0.0000) x3
Co (0.0000, 0.0000, 0.3918) x3
B (0.0000, 0.0000, 0.1624) x3
B (0.0000, 0.0000, 0.6478) x3
W (0.0000, 0.0000, 0.2724) x3
W (0.0000, 0.0000, 0.5245) x3
W (0.0000, 0.0000, 0.7691) x3

Top 12 peaks for 2θ from 15° to 90°, in order of rising 2θ:
2θ (°), d_spacing, I/Imax, index
28.04, 3.182, 16, 1 0 1
32.46, 2.758, 100, 1 0 4
44.00, 2.058, 67, 0 1 8
49.03, 1.858, 55, 1 1 0
51.21, 1.784, 12, 0 0 12
60.04, 1.541, 18, 0 2 4
63.50, 1.465, 9, 1 0 13
67.98, 1.379, 18, 2 0 8
73.61, 1.287, 17, 1 1 12
77.20, 1.236, 10, 1 0 16
81.08, 1.186, 15, 2 1 4
88.25, 1.107, 19, 1 2 8

Simulated powder X-ray diffraction pattern of Sr4P5Pd5 for Cu Kα (λ = 1.5418 Å), from the PBE geometry in OQMD.

Structural model:
Cell: 4.205 31.574 8.685 Å, 90.00 90.00 90.00°
Space group Cmcm (No. 63)
Inequivalent atoms, fractional coordinates:
Sr (0.000, 0.079, 0.000) x8
Sr (0.000, 0.306, 0.004) x8
P (0.000, 0.156, 0.750) x4
P (0.000, 0.157, 0.250) x4
P (0.000, 0.229, 0.250) x4
P (0.000, 0.456, 0.750) x4
P (0.000, 0.458, 0.250) x4
Pd (0.000, 0.000, 0.250) x4
Pd (0.000, 0.234, 0.750) x4
Pd (0.000, 0.380, 0.750) x4
Pd (0.000, 0.381, 0.250) x4
Pd (0.000, 0.500, 0.000) x4

Top 12 peaks for 2θ from 15° to 90°, in order of rising 2θ:
2θ (°), d_spacing, I/Imax, index
28.27, 3.157, 6, 0 10 0
30.61, 2.921, 30, 0 8 2
32.87, 2.725, 100, 1 5 2
35.14, 2.554, 6, 0 10 2
41.60, 2.171, 23, 0 0 4
43.01, 2.103, 46, 2 0 0
53.72, 1.706, 12, 2 8 2
61.38, 1.510, 31, 2 0 4
69.88, 1.346, 10, 1 21 2
70.39, 1.338, 11, 1 5 6
72.42, 1.305, 10, 3 5 2
78.83, 1.214, 7, 0 26 0

Simulated powder X-ray diffraction pattern of Fe2Se3 for Cu Kα (λ = 1.5418 Å), from the PBE geometry in OQMD.

Structural model:
Cell: 6.1864 6.1864 10.3191 Å, 90.00 90.00 120.00°
Space group P-31c (No. 163)
Inequivalent atoms, fractional coordinates:
Fe (0.0000, 0.0000, 0.0000) x2
Fe (0.3333, 0.6667, 0.0043) x4
Fe (0.3333, 0.6667, 0.2500) x2
Se (0.0083, 0.3312, 0.8774) x12

Top 12 peaks for 2θ from 15° to 90°, in order of rising 2θ:
2θ (°), d_spacing, I/Imax, index
17.19, 5.160, 9, 0 0 2
18.66, 4.755, 5, 1 0 1
33.79, 2.653, 100, 1 1 2
34.78, 2.580, 5, 0 0 4
45.80, 1.981, 51, 1 1 4
51.15, 1.786, 41, 3 0 0
61.71, 1.503, 17, 2 -1 6
62.71, 1.481, 16, 4 -2 2
63.34, 1.468, 5, 3 0 4
71.07, 1.326, 13, 4 -2 4
84.19, 1.150, 7, 2 2 6
85.08, 1.140, 13, 4 1 2

Simulated powder X-ray diffraction pattern of RbPbAuSe2S for Cu Kα (λ = 1.5418 Å), from the PBE geometry in OQMD.

Structural model:
Cell: 4.498 12.877 11.737 Å, 90.00 90.00 90.00°
Space group Cmcm (No. 63)
Inequivalent atoms, fractional coordinates:
Rb (0.000, 0.210, 0.250) x4
Pb (0.000, 0.500, 0.000) x4
Au (0.000, 0.077, 0.750) x4
Se (0.000, 0.153, 0.543) x8
S (0.000, 0.497, 0.750) x4

Top 12 peaks for 2θ from 15° to 90°, in order of rising 2θ:
2θ (°), d_spacing, I/Imax, index
15.70, 5.645, 44, 0 2 1
25.90, 3.440, 90, 1 1 2
28.75, 3.105, 100, 1 3 0
29.76, 3.002, 58, 1 3 1
30.46, 2.934, 66, 0 0 4
32.63, 2.745, 44, 1 3 2
36.13, 2.486, 25, 0 4 3
40.10, 2.249, 41, 2 0 0
42.38, 2.133, 35, 1 3 4
44.98, 2.016, 31, 0 6 2
51.18, 1.785, 31, 2 0 4
51.42, 1.777, 40, 1 1 6

Simulated powder X-ray diffraction pattern of Al3FeSi2 for Cu Kα (λ = 1.5418 Å), from the PBE geometry in OQMD.

Structural model:
Cell: 6.047 6.055 9.487 Å, 90.00 90.00 90.00°
Space group Pbcn (No. 60)
Inequivalent atoms, fractional coordinates:
Al (0.000, 0.000, 0.000) x4
Al (0.139, 0.368, 0.135) x8
Fe (0.000, 0.012, 0.250) x4
Si (0.163, 0.328, 0.845) x8

Top 12 peaks for 2θ from 15° to 90°, in order of rising 2θ:
2θ (°), d_spacing, I/Imax, index
18.71, 4.743, 57, 0 0 2
20.76, 4.279, 55, 1 1 0
29.52, 3.026, 23, 2 0 0
34.46, 2.602, 65, 2 1 1
42.24, 2.139, 36, 2 2 0
43.63, 2.074, 89, 1 1 4
44.04, 2.056, 69, 2 1 3
47.52, 1.914, 100, 3 1 0
48.79, 1.867, 58, 2 0 4
69.47, 1.353, 16, 4 2 0
74.38, 1.275, 29, 4 0 4
78.21, 1.222, 28, 3 3 4

Simulated powder X-ray diffraction pattern of PrMg4AlAu2 for Cu Kα (λ = 1.5418 Å), from the PBE geometry in OQMD.

Structural model:
Cell: 6.224 5.608 15.276 Å, 90.00 90.00 90.00°
Space group Amm2 (No. 38)
Inequivalent atoms, fractional coordinates:
Pr (0.000, 0.000, 0.000) x2
Mg (0.252, 0.000, 0.780) x4
Mg (0.269, 0.000, 0.343) x4
Al (0.000, 0.000, 0.479) x2
Au (0.000, 0.000, 0.204) x2
Au (0.000, 0.000, 0.640) x2

Top 12 peaks for 2θ from 15° to 90°, in order of rising 2θ:
2θ (°), d_spacing, I/Imax, index
18.39, 4.825, 100, 1 0 2
27.40, 3.255, 33, 1 0 4
27.66, 3.225, 55, 1 1 3
28.68, 3.112, 41, 2 0 0
31.03, 2.882, 41, 2 0 2
31.92, 2.804, 66, 0 2 0
33.40, 2.683, 53, 0 1 5
35.10, 2.557, 71, 1 2 0
36.47, 2.464, 83, 1 1 5
37.08, 2.424, 36, 1 2 2
37.47, 2.400, 33, 2 1 3
44.58, 2.032, 69, 2 1 5

Simulated powder X-ray diffraction pattern of CsCuSnSeS2 for Cu Kα (λ = 1.5418 Å), from the PBE geometry in OQMD.

Structural model:
Cell: 3.881 15.869 10.654 Å, 90.00 90.00 90.00°
Space group Cmcm (No. 63)
Inequivalent atoms, fractional coordinates:
Cs (0.000, 0.248, 0.250) x4
Cu (0.000, 0.043, 0.750) x4
Sn (0.000, 0.500, 0.000) x4
Se (0.000, 0.444, 0.750) x4
S (0.000, 0.108, 0.556) x8

Top 12 peaks for 2θ from 15° to 90°, in order of rising 2θ:
2θ (°), d_spacing, I/Imax, index
20.08, 4.423, 36, 0 2 2
22.41, 3.967, 37, 0 4 0
29.76, 3.002, 100, 1 3 1
33.21, 2.698, 22, 1 3 2
33.65, 2.663, 41, 0 0 4
37.98, 2.369, 25, 0 6 2
38.34, 2.348, 27, 1 3 3
40.43, 2.231, 26, 1 5 2
40.81, 2.211, 24, 0 4 4
46.82, 1.941, 21, 2 0 0
51.92, 1.761, 26, 1 3 5
53.45, 1.714, 23, 1 7 3